Simulated X-ray powder pattern of AcLa5Dy5 for copper Kα, from a DFT-relaxed cell (GGA-PBE, Alexandria).
Lines closer than 0.1° are merged.

Crystal structure
```
AcLa5Dy5
1.0
6.288 0.000 0.000
-3.144 5.445 0.000
0.000 0.000 11.877
Ac La Dy
1 5 5
direct
0.000 0.000 0.000
0.000 0.000 0.325
0.000 0.000 0.675
0.333 0.667 0.156
0.333 0.667 0.844
0.667 0.333 0.000
0.501 0.002 0.500
0.501 0.499 0.500
0.667 0.333 0.266
0.667 0.333 0.734
0.998 0.499 0.500
```

Most intense lines, 15 to 90 degrees two-theta, by angle:
two_theta	I_rel
27.86	1000
28.39	856
29.39	362
32.90	203
33.78	253
34.40	288
36.30	368
36.50	295
45.18	232
49.94	411
57.57	191
58.74	286